No. 1
Theoretical powder diffractogram
Compound: Sc2TeI3
Radiation: CuKα
Structure: a crystal structure in Alexandria, relaxed with GGA-PBE
Neutral-atom scattering factors, no anomalous dispersion.

Top 10 peaks for 10° ≤ 2θ ≤ 80°, low angle first:
Position (°2θ), intensity
25.49, 100
25.64, 49
26.17, 67
29.35, 46
30.84, 46
33.18, 79
36.59, 30
42.11, 34
43.92, 60
52.66, 38

Structural model:
```
12
Lattice="10.656 -2.023 0.000 10.656 2.023 0.000 -10.322 0.000 10.889" Properties=species:S:1:pos:R:3 pbc="T T T"
Sc -0.349 0.000 2.369
Sc 7.073 0.000 0.759
Sc 3.916 0.000 10.130
Sc 11.339 0.000 8.520
Te 1.804 0.000 0.198
Te 9.185 0.000 10.691
I -4.778 0.000 9.091
I -1.009 0.000 7.252
I 2.702 0.000 7.467
I 8.288 0.000 3.422
I 11.999 0.000 3.637
I 15.767 0.000 1.798
```


No. 2
Theoretical powder diffractogram
Compound: LiEuGdBi
Radiation: CuKα
Structure: a crystal structure in Alexandria, relaxed with GGA-PBE
Neutral-atom scattering factors, no anomalous dispersion.

Top 10 peaks for 10° ≤ 2θ ≤ 80°, low angle first:
Position (°2θ), intensity
19.86, 33
32.72, 100
38.57, 20
46.95, 18
51.45, 9
58.40, 39
62.32, 7
68.57, 12
72.19, 7
78.07, 17

Structural model:
```
4
Lattice="0.000 3.871 3.871 3.871 0.000 3.871 3.871 3.871 0.000" Properties=species:S:1:pos:R:3 pbc="T T T"
Li 0.000 0.000 0.000
Eu 5.806 5.806 5.806
Gd 1.935 1.935 1.935
Bi 3.871 3.871 3.871
```